No. 1
# Ta2AlCu
Computed X-ray powder pattern, Cu Kα (weighted mean of Kα1 and Kα2). Input: a crystal structure in Alexandria, relaxed with PBE.
Kinematic intensities with the Lorentz-polarization factor, no thermal factor.

Peak list (10 most intense, 2θ = 10–80°, by intensity)
- 2.328 Å, 38.7°, I 100
- 1.999 Å, 45.4°, I 95
- 2.289 Å, 39.4°, I 95
- 3.994 Å, 22.3°, I 67
- 1.413 Å, 66.1°, I 41
- 1.788 Å, 51.1°, I 31
- 2.865 Å, 31.2°, I 29
- 2.792 Å, 32.1°, I 27
- 1.214 Å, 78.8°, I 25
- 1.207 Å, 79.4°, I 12

Structure:
```
Ta2AlCu
1.0
5.5848 0.0000 0.0000
0.0000 7.9883 0.0000
0.0000 0.0000 2.8652
Ta Al Cu
4 2 2
Direct
0.2500 0.2500 0.0000
0.2500 0.7500 0.0000
0.7500 0.2500 0.0000
0.7500 0.7500 0.0000
0.0000 0.0000 0.5000
0.5000 0.5000 0.5000
0.0000 0.5000 0.5000
0.5000 0.0000 0.5000
```

No. 2
# Th2Zn3Ni12Pt
Computed X-ray powder pattern, Cu Kα (weighted mean of Kα1 and Kα2). Input: a crystal structure in Alexandria, relaxed with PBE.
Kinematic intensities with the Lorentz-polarization factor, no thermal factor.

Peak list (10 most intense, 2θ = 10–80°, by intensity)
- 2.871 Å, 31.2°, I 100
- 2.041 Å, 44.4°, I 67
- 2.141 Å, 42.2°, I 54
- 1.723 Å, 53.2°, I 36
- 2.441 Å, 36.8°, I 30
- 1.523 Å, 60.8°, I 29
- 8.591 Å, 10.3°, I 29
- 2.485 Å, 36.2°, I 28
- 3.687 Å, 24.1°, I 21
- 3.046 Å, 29.3°, I 21

Structure:
```
Th2Zn3Ni12Pt
1.0
3.0457 1.7585 8.5911
-3.0457 1.7585 8.5911
0.0000 -3.5169 8.5911
Th Zn Ni Pt
2 3 12 1
Direct
0.1384 0.1384 0.1384
0.8616 0.8616 0.8616
0.0000 0.5000 0.5000
0.5000 0.0000 0.5000
0.5000 0.5000 0.0000
0.0546 0.6287 0.6287
0.0831 0.0831 0.6974
0.0831 0.6974 0.0831
0.3026 0.9169 0.9169
0.3713 0.3713 0.9454
0.3713 0.9454 0.3713
0.6287 0.0546 0.6287
0.6287 0.6287 0.0546
0.6974 0.0831 0.0831
0.9169 0.3026 0.9169
0.9169 0.9169 0.3026
0.9454 0.3713 0.3713
0.5000 0.5000 0.5000
```